Entry 1:
Structure and simulated X-ray powder pattern of Be2TcAs (a PBE-relaxed structure; Cu Kα (λ = 1.5418 Å)).
Lines closer than 0.1° are merged.

Largest 6 diffraction maxima, by angle, 10 to 80 degrees two-theta:
two_theta	Rel. int.
26.60	1000
30.81	20
44.13	971
52.27	460
64.18	155
70.75	180

Structure:
```
Be2TcAs
1.0
0.0000 2.9021 2.9021
2.9021 0.0000 2.9021
2.9021 2.9021 0.0000
Be Tc As
2 1 1
Cartesian
0.0000 0.0000 0.0000
1.4511 1.4511 1.4511
4.3532 4.3532 4.3532
2.9021 2.9021 2.9021
```

Entry 2:
Structure and simulated X-ray powder pattern of ZnFeTe3Pb (a PBE-relaxed structure; Cu Kα (λ = 1.5418 Å)).
Lines closer than 0.1° are merged.

Largest 6 diffraction maxima, by angle, 10 to 80 degrees two-theta:
two_theta	Rel. int.
29.92	421
30.48	579
30.60	1000
32.76	436
33.40	358
49.20	412

Structure:
```
ZnFeTe3Pb
1.0
1.9890 -6.9409 0.0000
1.9890 6.9409 0.0000
0.0000 0.0000 11.7304
Zn Fe Te Pb
2 2 6 2
Cartesian
0.0000 0.0000 0.0000
0.0000 0.0000 5.8652
1.9890 1.0368 8.7978
1.9890 -1.0368 2.9326
1.9890 6.2823 8.7978
1.9890 1.9028 6.3672
1.9890 1.9028 11.2285
1.9890 -1.9028 0.5020
1.9890 -1.9028 5.3633
1.9890 -6.2823 2.9326
1.9890 3.7348 2.9326
1.9890 -3.7348 8.7978
```

Entry 3:
Structure and simulated X-ray powder pattern of ZnHgC4Se4N4 (a PBE-relaxed structure; Cu Kα (λ = 1.5418 Å)).
Lines closer than 0.1° are merged.

Largest 6 diffraction maxima, by angle, 10 to 80 degrees two-theta:
two_theta	Rel. int.
11.05	713
15.66	414
25.82	1000
30.34	456
34.32	288
46.11	347

Structure:
```
ZnHgC4Se4N4
1.0
-5.6602 5.6602 2.3569
5.6602 -5.6602 2.3569
5.6602 5.6602 -2.3569
Zn Hg C Se N
1 1 4 4 4
Cartesian
0.0000 0.0000 0.0000
5.6602 0.0000 1.1785
2.4781 -0.8552 1.7155
4.8050 3.1821 0.6414
3.1821 6.5154 -0.6414
0.8552 2.4781 2.9984
4.2662 1.7606 -0.3304
3.8996 -1.3941 2.6873
1.7606 7.0543 0.3304
1.3941 3.8996 2.0266
1.5294 -0.5222 1.1082
4.1308 6.1824 -1.2488
5.1380 4.1308 1.2488
0.5222 1.5294 3.6057
```